[1]
Structure and simulated powder diffraction line list of CuPO4 (a crystal structure in Alexandria, relaxed with PBE; Cu Kα (λ = 1.5418 Å)).
Lines closer than 0.1° are merged.

The 12 most intense peaks (5 to 70 degrees two-theta), in order of falling intensity:
Position (°2θ), intensity, index
24.86, 100.0, 0 2 2
33.66, 84.6, 1 1 3
20.43, 81.3, 1 1 1
36.78, 37.0, 2 2 0
53.78, 32.6, 1 5 3
31.06, 28.5, 1 3 1
51.12, 21.5, 2 4 2
32.96, 19.2, 0 4 0
37.78, 18.7, 0 0 4
61.38, 13.8, 2 6 0
41.54, 13.2, 2 2 2
59.03, 12.5, 3 1 3

Atomic structure:
```
data_CuPO4
_chemical_formula_sum 'Cu8 P8 O32'
_cell_length_a 5.4707
_cell_length_b 10.8691
_cell_length_c 9.5256
_cell_angle_alpha 90.00
_cell_angle_beta 90.00
_cell_angle_gamma 90.00
_symmetry_space_group_name_H-M 'F d d 2'
_symmetry_Int_Tables_number 43
_symmetry_space_group_name_Hall 'F 2 -2d'
loop_
_atom_site_label
_atom_site_type_symbol
_atom_site_fract_x
_atom_site_fract_y
_atom_site_fract_z
Cu1 Cu 0.0000 0.0000 0.0000
P1 P 0.0000 0.0000 0.6373
O1 O 0.0586 0.3175 0.7950
O2 O 0.1193 0.4096 0.2448
```

---

[2]
Structure and simulated powder diffraction line list of Ac2Pm4SmEr (a crystal structure in Alexandria, relaxed with PBE; Cu Kα (λ = 1.5418 Å)).
Lines closer than 0.1° are merged.

The 12 most intense peaks (5 to 70 degrees two-theta), in order of falling intensity:
Position (°2θ), intensity, index
28.94, 100.0, 0 0 2
39.27, 85.5, 0 4 2
25.98, 64.2, 0 4 0
29.43, 49.6, 4 0 0
39.65, 40.9, 4 4 0
58.93, 24.7, 8 4 -2
61.90, 20.3, 0 8 2
51.89, 19.7, 8 0 -2
66.45, 17.5, 8 4 -4
58.09, 13.6, 4 4 -4
59.96, 13.1, 8 0 -4
50.98, 10.9, 4 0 -4

Atomic structure:
```
data_Ac2Pm4SmEr
_chemical_formula_sum 'Ac8 Pm16 Sm4 Er4'
_cell_length_a 14.0973
_cell_length_b 13.7209
_cell_length_c 7.1651
_cell_angle_alpha 90.00
_cell_angle_beta 120.53
_cell_angle_gamma 90.00
_symmetry_space_group_name_H-M 'C 1 2/c 1'
_symmetry_Int_Tables_number 15
loop_
_symmetry_equiv_pos_as_xyz
'x,y,z'
'-x,-y,-z'
'-x,y,-z+1/2'
'x,-y,z+1/2'
'x+1/2,y+1/2,z'
'-x+1/2,-y+1/2,-z'
'-x+1/2,y+1/2,-z+1/2'
'x+1/2,-y+1/2,z+1/2'
loop_
_atom_site_label
_atom_site_type_symbol
_atom_site_fract_x
_atom_site_fract_y
_atom_site_fract_z
Ac1 Ac 0.0000 0.0000 0.0000
Ac2 Ac 0.2500 0.2500 0.0000
Pm1 Pm 0.9999 0.2637 0.0157
Pm2 Pm 0.2341 0.4902 0.4834
Sm1 Sm 0.2500 0.2500 0.5000
Er1 Er 0.0000 0.5000 0.0000
```

---

[3]
Structure and simulated powder diffraction line list of TbPu2ScSb4 (a crystal structure in Alexandria, relaxed with PBE; Cu Kα (λ = 1.5418 Å)).
Lines closer than 0.1° are merged.

The 12 most intense peaks (5 to 70 degrees two-theta), in order of falling intensity:
Position (°2θ), intensity, index
28.97, 100.0, 1 1 1
41.32, 38.5, 0 2 0
41.56, 37.6, 3 1 -1
51.25, 20.5, 2 2 -2
67.85, 17.5, 1 3 1
60.04, 12.6, 2 2 2
68.17, 11.4, 4 2 0
23.89, 9.9, 1 0 -2
12.51, 9.0, 1 0 0
51.66, 6.6, 4 0 0
68.25, 5.7, 5 1 -3
31.69, 4.3, 2 1 -1

Atomic structure:
```
data_TbPu2ScSb4
_chemical_formula_sum 'Tb1 Pu2 Sc1 Sb4'
_cell_length_a 7.5096
_cell_length_b 4.3703
_cell_length_c 7.5703
_cell_angle_alpha 90.00
_cell_angle_beta 109.54
_cell_angle_gamma 90.00
_symmetry_space_group_name_H-M 'P 1 2/m 1'
_symmetry_Int_Tables_number 10
loop_
_symmetry_equiv_pos_as_xyz
'x,y,z'
'-x,-y,-z'
'-x,y,-z'
'x,-y,z'
loop_
_atom_site_label
_atom_site_type_symbol
_atom_site_fract_x
_atom_site_fract_y
_atom_site_fract_z
Tb1 Tb 0.0000 0.0000 0.0000
Pu1 Pu 0.5000 0.0000 0.5000
Pu2 Pu 0.5000 0.5000 0.0000
Sc1 Sc 0.0000 0.5000 0.5000
Sb1 Sb 0.2384 0.0000 0.7389
Sb2 Sb 0.2438 0.5000 0.2559
```

---

[4]
Structure and simulated powder diffraction line list of Ac3PrH8 (a crystal structure in Alexandria, relaxed with PBE; Cu Kα (λ = 1.5418 Å)).
Lines closer than 0.1° are merged.

The 12 most intense peaks (5 to 70 degrees two-theta), in order of falling intensity:
Position (°2θ), intensity, index
26.62, 100.0, 1 1 1
30.84, 50.1, 2 0 0
52.32, 48.5, 3 1 1
44.17, 40.3, 2 2 0
54.84, 13.8, 2 2 2
64.25, 6.7, 4 0 0
15.28, 2.3, 1 0 0
21.67, 2.2, 1 1 0
34.59, 1.5, 2 1 0
38.01, 1.2, 2 1 1
47.01, 0.8, 3 0 0
59.66, 0.7, 3 2 1

Atomic structure:
```
data_Ac3PrH8
_chemical_formula_sum 'Ac3 Pr1 H8'
_cell_length_a 5.7992
_cell_length_b 5.7992
_cell_length_c 5.7992
_cell_angle_alpha 90.00
_cell_angle_beta 90.00
_cell_angle_gamma 90.00
_symmetry_space_group_name_H-M 'P m -3 m'
_symmetry_Int_Tables_number 221
_symmetry_space_group_name_Hall '-P 4 2 3'
loop_
_atom_site_label
_atom_site_type_symbol
_atom_site_fract_x
_atom_site_fract_y
_atom_site_fract_z
Ac1 Ac 0.0000 0.0000 0.5000
Pr1 Pr 0.5000 0.5000 0.5000
H1 H 0.2591 0.2591 0.2591
```

---

[5]
Structure and simulated powder diffraction line list of LaCdAu3 (a crystal structure in Alexandria, relaxed with PBE; Cu Kα (λ = 1.5418 Å)).
Lines closer than 0.1° are merged.

The 12 most intense peaks (5 to 70 degrees two-theta), in order of falling intensity:
Position (°2θ), intensity, index
38.77, 100.0, 5 1 1
38.93, 99.6, 7 1 -1
34.20, 75.8, 0 2 0
34.95, 71.6, 2 0 -2
49.71, 53.1, 2 2 -2
9.86, 36.4, 2 0 0
17.62, 28.4, 1 1 0
64.30, 22.7, 5 3 1
64.40, 22.6, 7 3 -1
65.12, 21.9, 3 1 3
65.44, 21.7, 9 1 -3
22.55, 16.3, 3 1 0

Atomic structure:
```
data_LaCdAu3
_chemical_formula_sum 'La4 Cd4 Au12'
_cell_length_a 18.6376
_cell_length_b 5.2431
_cell_length_c 5.1349
_cell_angle_alpha 90.00
_cell_angle_beta 105.68
_cell_angle_gamma 90.00
_symmetry_space_group_name_H-M 'C 1 2/m 1'
_symmetry_Int_Tables_number 12
loop_
_symmetry_equiv_pos_as_xyz
'x,y,z'
'-x,-y,-z'
'-x,y,-z'
'x,-y,z'
'x+1/2,y+1/2,z'
'-x+1/2,-y+1/2,-z'
'-x+1/2,y+1/2,-z'
'x+1/2,-y+1/2,z'
loop_
_atom_site_label
_atom_site_type_symbol
_atom_site_fract_x
_atom_site_fract_y
_atom_site_fract_z
La1 La 0.1135 0.0000 0.3647
Cd1 Cd 0.1280 0.5000 0.8798
Au1 Au 0.0305 0.5000 0.2803
Au2 Au 0.2054 0.0000 0.9547
Au3 Au 0.2099 0.5000 0.4617
```

---

Which formula does entry 1 have? CuPO4